# MgTi4
Calculated X-ray diffraction stick pattern, λ = 1.5418 Å (Cu Kα). Input: a structure optimized by DFT (PBE).

Most intense lines, 2θ from 10° to 90°, sorted by position:
hkl	two_theta	d (Å)	Rel. int.
0 0 2	11.92	7.425	24
0 1 5	37.27	2.413	98
1 1 0	37.48	2.399	100
1 0 5	43.27	2.091	62
0 2 0	43.75	2.069	31
2 0 0	63.21	1.471	45
1 1 10	75.26	1.263	18
2 1 5	75.67	1.257	20
0 3 5	76.08	1.251	10
1 3 0	76.22	1.249	10

Structure:
Cell lengths 2.9449, 4.1382, 14.8499 Å; angles 90.00, 90.00, 90.00 degrees
Space group Immm (No. 71)
Asymmetric unit:
1 Mg 0.0000 0.0000 0.0000 (multiplicity 2)
2 Ti 0.0000 0.0000 0.2049 (multiplicity 4)
3 Ti 0.0000 0.0000 0.3916 (multiplicity 4)

# SrUBi2O8
Calculated X-ray diffraction stick pattern, λ = 1.5418 Å (Cu Kα). Input: a structure optimized by DFT (PBE).

Most intense lines, 2θ from 10° to 90°, sorted by position:
hkl	two_theta	d (Å)	Rel. int.
1 1 1	21.01	4.227	12
0 2 0	23.71	3.753	56
2 0 0	24.32	3.660	52
1 1 2	30.25	2.954	100
2 2 0	34.22	2.620	32
1 3 2	45.97	1.974	41
3 1 2	46.66	1.947	38
2 0 4	57.34	1.607	11
3 3 2	58.83	1.570	23
2 2 4	62.91	1.477	13

Structure:
Cell lengths 7.3195, 7.5051, 7.1546 Å; angles 90.00, 90.00, 90.00 degrees
Space group Cmmm (No. 65)
Asymmetric unit:
1 Sr 0.0000 0.0000 0.0000 (multiplicity 2)
2 U 0.0000 0.0000 0.5000 (multiplicity 2)
3 Bi 0.0000 0.5000 0.2502 (multiplicity 4)
4 O 0.0000 0.2990 0.5000 (multiplicity 4)
5 O 0.0000 0.3250 0.0000 (multiplicity 4)
6 O 0.1882 0.0000 0.2903 (multiplicity 8)

# LaSi23
Calculated X-ray diffraction stick pattern, λ = 1.5418 Å (Cu Kα). Input: a structure optimized by DFT (PBE).

Most intense lines, 2θ from 10° to 90°, sorted by position:
hkl	two_theta	d (Å)	Rel. int.
1 1 0	12.24	7.232	92
2 1 0	19.41	4.574	30
2 2 0	24.62	3.616	12
3 1 0	27.58	3.234	13
3 2 1	32.76	2.733	100
3 3 0	37.30	2.411	27
4 3 1	45.21	2.006	12
6 0 0	53.78	1.705	19
5 3 2	55.37	1.659	42
5 5 2	67.27	1.392	10

Structure:
Cell lengths 10.2277, 10.2277, 10.2277 Å; angles 90.00, 90.00, 90.00 degrees
Space group Pm-3n (No. 223)
Asymmetric unit:
1 La 0.0000 0.0000 0.0000 (multiplicity 2)
2 Si 0.0000 0.1159 0.3084 (multiplicity 24)
3 Si 0.0000 0.2500 0.5000 (multiplicity 6)
4 Si 0.1839 0.1839 0.1839 (multiplicity 16)